# 1
This entry pairs a crystal structure of DyPt3O6 with its theoretical powder diffraction line list. Radiation: Cu Kα (weighted mean of Kα1 and Kα2). Structure: a GGA-PBE-relaxed structure.
Neutral-atom scattering factors, no anomalous dispersion.

Peak list (10 most intense, 5 to 70 degrees two-theta, in order of rising 2θ)
2theta, d_spacing, I (rel.), (hkl)
30.7, 2.911, 98.6, 2 2 0
30.9, 2.893, 100.0, 0 2 1
35.4, 2.535, 26.3, 0 4 0
35.9, 2.503, 50.9, 2 0 1
51.3, 1.780, 73.1, 2 4 1
51.9, 1.761, 14.6, 0 0 2
60.7, 1.526, 15.3, 2 6 0
60.8, 1.524, 14.3, 0 6 1
61.2, 1.515, 29.3, 4 2 1
61.5, 1.507, 28.0, 2 2 2

Crystal structure
```
data_DyPt3O6
_cell_length_a 7.112
_cell_length_b 10.139
_cell_length_c 3.523
_cell_angle_alpha 90.00
_cell_angle_beta 90.00
_cell_angle_gamma 90.00
_space_group_name_H-M_alt 'C m m m'
_space_group_IT_number 65
_space_group_name_Hall '-C 2 2'
loop_
_atom_site_label
_atom_site_type_symbol
_atom_site_fract_x
_atom_site_fract_y
_atom_site_fract_z
Dy1 Dy 0.000 0.000 0.000
Pt1 Pt 0.000 0.500 0.000
Pt2 Pt 0.250 0.250 0.500
O1 O 0.000 0.149 0.500
O2 O 0.211 0.369 0.000
```

# 2
This entry pairs a crystal structure of Co2AsP with its theoretical powder diffraction line list. Radiation: Cu Kα (weighted mean of Kα1 and Kα2). Structure: a GGA-PBE-relaxed structure.
Neutral-atom scattering factors, no anomalous dispersion.

Peak list (10 most intense, 5 to 70 degrees two-theta, in order of rising 2θ)
2theta, d_spacing, I (rel.), (hkl)
24.8, 3.588, 15.4, 2 0 0
28.1, 3.170, 21.2, 2 0 -1
34.9, 2.572, 30.1, 2 0 1
35.1, 2.559, 26.0, 1 1 -1
38.0, 2.367, 92.7, 1 1 1
39.3, 2.290, 15.1, 0 0 2
42.1, 2.148, 23.8, 2 0 -2
48.4, 1.882, 100.0, 3 1 -1
50.9, 1.794, 25.8, 4 0 0
57.9, 1.593, 20.9, 0 2 0

Crystal structure
```
data_Co2AsP
_cell_length_a 7.344
_cell_length_b 3.185
_cell_length_c 4.687
_cell_angle_alpha 90.00
_cell_angle_beta 102.26
_cell_angle_gamma 90.00
_space_group_name_H-M_alt 'C 1 m 1'
_space_group_IT_number 8
loop_
_space_group_symop_operation_xyz
'x,y,z'
'x,-y,z'
'x+1/2,y+1/2,z'
'x+1/2,-y+1/2,z'
loop_
_atom_site_label
_atom_site_type_symbol
_atom_site_fract_x
_atom_site_fract_y
_atom_site_fract_z
Co1 Co 0.000 0.000 0.000
Co2 Co 0.211 0.000 0.614
As1 As 0.239 0.500 0.227
P1 P 0.013 0.500 0.684
```

# 3
This entry pairs a crystal structure of Li2Ag2Pd2Au with its theoretical powder diffraction line list. Radiation: Cu Kα (weighted mean of Kα1 and Kα2). Structure: a GGA-PBE-relaxed structure.
Neutral-atom scattering factors, no anomalous dispersion.

Peak list (10 most intense, 5 to 70 degrees two-theta, in order of rising 2θ)
2theta, d_spacing, I (rel.), (hkl)
20.8, 4.276, 21.1, 2 0 0
27.1, 3.292, 24.8, 1 1 -1
27.3, 3.269, 13.5, 2 0 1
35.9, 2.499, 12.3, 1 1 -2
39.0, 2.307, 100.0, 1 1 2
44.1, 2.053, 17.6, 2 0 -3
44.6, 2.031, 17.4, 0 2 0
47.4, 1.919, 14.1, 4 0 1
64.6, 1.444, 11.1, 2 2 -3
66.7, 1.402, 9.8, 2 0 4

Crystal structure
```
data_Li2Ag2Pd2Au
_cell_length_a 8.708
_cell_length_b 4.061
_cell_length_c 6.449
_cell_angle_alpha 90.00
_cell_angle_beta 100.88
_cell_angle_gamma 90.00
_space_group_name_H-M_alt 'C 1 2/m 1'
_space_group_IT_number 12
loop_
_space_group_symop_operation_xyz
'x,y,z'
'-x,-y,-z'
'-x,y,-z'
'x,-y,z'
'x+1/2,y+1/2,z'
'-x+1/2,-y+1/2,-z'
'-x+1/2,y+1/2,-z'
'x+1/2,-y+1/2,z'
loop_
_atom_site_label
_atom_site_type_symbol
_atom_site_fract_x
_atom_site_fract_y
_atom_site_fract_z
Li1 Li 0.207 0.000 0.164
Ag1 Ag 0.079 0.000 0.720
Pd1 Pd 0.141 0.500 0.428
Au1 Au 0.000 0.500 0.000
```

# 4
This entry pairs a crystal structure of EuDyCdBi with its theoretical powder diffraction line list. Radiation: Cu Kα (weighted mean of Kα1 and Kα2). Structure: a GGA-PBE-relaxed structure.
Neutral-atom scattering factors, no anomalous dispersion.

Peak list (8 most intense, 5 to 70 degrees two-theta, in order of rising 2θ)
2theta, d_spacing, I (rel.), (hkl)
19.7, 4.496, 4.4, 1 1 1
32.5, 2.753, 100.0, 2 2 0
38.3, 2.348, 2.8, 3 1 1
46.7, 1.947, 18.4, 4 0 0
51.1, 1.786, 1.3, 3 3 1
58.0, 1.589, 38.4, 4 2 2
61.9, 1.499, 1.1, 5 1 1
68.1, 1.376, 11.9, 4 4 0

Crystal structure
```
data_EuDyCdBi
_cell_length_a 7.787
_cell_length_b 7.787
_cell_length_c 7.787
_cell_angle_alpha 90.00
_cell_angle_beta 90.00
_cell_angle_gamma 90.00
_space_group_name_H-M_alt 'F -4 3 m'
_space_group_IT_number 216
_space_group_name_Hall 'F -4 2 3'
loop_
_atom_site_label
_atom_site_type_symbol
_atom_site_fract_x
_atom_site_fract_y
_atom_site_fract_z
Eu1 Eu 0.000 0.000 0.000
Dy1 Dy 0.000 0.000 0.500
Cd1 Cd 0.250 0.250 0.250
Bi1 Bi 0.250 0.250 0.750
```